V2GeO8: simulated powder diffractogram (CuKα), based on a GGA+U-relaxed structure.
Peak positions follow from Bragg's law for the DFT cell and can differ from measured ones.

Structural model:
Cell: 5.5389 5.5389 6.3620 Å, 90.00 90.00 120.00°
Space group P-3m1 (No. 164)
Unique sites:
1 V 0.3333 0.6667 0.2400
2 Ge 0.0000 0.0000 0.5000
3 O 0.1594 0.3189 0.3301
4 O 0.3333 0.6667 0.9788

Peak list (12 most intense, 15 to 90 degrees two-theta, in order of falling intensity)
23.2°, intensity 100.0, (1 0 1)
32.3°, intensity 28.4, (1 1 0)
52.5°, intensity 18.2, (2 1 1)
33.8°, intensity 15.7, (1 0 2)
47.5°, intensity 13.7, (2 0 2)
68.0°, intensity 13.4, (1 1 4)
58.0°, intensity 8.5, (2 0 3)
46.8°, intensity 8.0, (0 1 3)
58.6°, intensity 7.5, (2 1 2)
67.7°, intensity 7.4, (2 2 0)
86.3°, intensity 6.4, (0 3 4)
72.6°, intensity 6.0, (1 3 1)